TmPa2Pt9: calculated powder diffractogram (copper Kα), based on a DFT-relaxed cell (PBE, Alexandria).

Crystal structure
a b c (Å): 4.1574 4.1574 12.4046
angles (deg): 90.00 90.00 90.00
Space group P4/mmm (No. 123)
Unique sites:
Tm 0.0000 0.0000 0.0000
Pa 0.0000 0.0000 0.3298
Pt 0.0000 0.5000 0.1659
Pt 0.0000 0.5000 0.5000
Pt 0.5000 0.5000 0.0000
Pt 0.5000 0.5000 0.3316

Top 6 peaks for 2θ = 10–80°, sorted by position:
| 2theta | I/Imax |
| --- | --- |
| 37.54 | 100 |
| 43.54 | 33 |
| 43.79 | 16 |
| 63.46 | 22 |
| 75.95 | 26 |
| 76.30 | 13 |